(1)
Diffraction record for Ba5ReN4F2. The powder diffraction line list is calculated, not measured: it uses a GGA-PBE-relaxed structure and copper Kα.
Lines closer than 0.1° are merged.

Most intense lines, 2θ from 10° to 90°, in order of rising 2θ:
2θ/deg, I (rel.)
27.36, 470
27.62, 953
28.04, 470
28.61, 1000
39.57, 524
49.14, 214
50.57, 292
54.84, 268

Structure:
Cell lengths 7.9344, 6.2489, 6.2489 Å; angles 117.11, 90.00, 90.00 degrees
Atoms (fractional coordinates):
Ba 0.0000 0.0000 0.0000
Ba 0.2696 0.2833 0.6344
Ba 0.2696 0.6344 0.2833
Ba 0.7304 0.2833 0.6344
Ba 0.7304 0.6344 0.2833
Re 0.5000 0.9675 0.9675
N 0.3184 0.1528 0.1528
N 0.5000 0.6631 0.9529
N 0.5000 0.9529 0.6631
N 0.6816 0.1528 0.1528
F 0.0000 0.4183 0.9583
F 0.0000 0.9583 0.4183

***

(2)
Diffraction record for Ba6Sb2NF. The powder diffraction line list is calculated, not measured: it uses a GGA-PBE-relaxed structure and copper Kα.
Lines closer than 0.1° are merged.

Most intense lines, 2θ from 10° to 90°, in order of rising 2θ:
2θ/deg, I (rel.)
27.99, 1000
32.43, 583
46.52, 414
55.17, 441
57.85, 142
74.97, 179
77.27, 181
86.31, 138

Structure:
Cell lengths 7.8088, 7.8088, 7.8088 Å; angles 60.00, 60.00, 60.00 degrees
Atoms (fractional coordinates):
Ba 0.2434 0.2434 0.7566
Ba 0.2434 0.7566 0.2434
Ba 0.2434 0.7566 0.7566
Ba 0.7566 0.2434 0.2434
Ba 0.7566 0.2434 0.7566
Ba 0.7566 0.7566 0.2434
Sb 0.2500 0.2500 0.2500
Sb 0.7500 0.7500 0.7500
N 0.0000 0.0000 0.0000
F 0.5000 0.5000 0.5000